Diffraction record for PrZn12Ag7. The powder XRD pattern is theoretical, not measured: it uses a structure optimized by DFT (PBE) and Cu Kα (weighted mean of Kα1 and Kα2).

Atomic structure:
a b c (Å): 9.4361 9.4361 9.4361
angles (deg): 90.00 90.00 90.00
Space group Im-3 (No. 204)
Asymmetric unit:
Pr  0.0000  0.0000  0.0000 (multiplicity 2)
Zn  0.0000  0.2480  0.3549 (multiplicity 24)
Ag  0.0000  0.0000  0.5000 (multiplicity 6)
Ag  0.2500  0.2500  0.2500 (multiplicity 8)

The 10 most intense peaks (2θ from 10° to 80°), by angle:
| 2θ (°) | Rel. int. | hkl |
| --- | --- | --- |
| 13.3 | 189 | 1 1 0 |
| 23.1 | 202 | 2 1 1 |
| 26.7 | 725 | 2 2 0 |
| 29.9 | 150 | 3 1 0 |
| 35.6 | 158 | 3 1 2 |
| 38.1 | 527 | 4 0 0 |
| 42.9 | 279 | 4 2 0 |
| 47.2 | 1000 | 4 2 2 |
| 62.2 | 147 | 6 2 0 |
| 75.4 | 492 | 6 2 4 |